LiCeGaSi2: simulated PXRD pattern (CuKα), based on DFT lattice parameters and positions (PBE).
Lines closer than 0.1° are merged.

Structural model:
```
data_LiCeGaSi2
_chemical_formula_sum 'Li1 Ce1 Ga1 Si2'
_cell_length_a 6.229
_cell_length_b 6.229
_cell_length_c 6.229
_cell_angle_alpha 142.10
_cell_angle_beta 142.10
_cell_angle_gamma 54.68
_symmetry_space_group_name_H-M 'P 1'
_symmetry_Int_Tables_number 1
loop_
_symmetry_equiv_pos_as_xyz
'x,y,z'
loop_
_atom_site_label
_atom_site_type_symbol
_atom_site_fract_x
_atom_site_fract_y
_atom_site_fract_z
Li1 Li 0.000 0.000 0.000
Ce1 Ce 0.750 0.250 0.500
Ga1 Ga 0.500 0.500 0.000
Si1 Si 0.142 0.642 0.500
Si2 Si 0.358 0.858 0.500
```

Principal peaks in the range 10 to 90 degrees two-theta, in order of falling intensity:
2θ (°), I/Imax
35.32, 100
32.86, 73
23.41, 72
44.80, 36
46.79, 36
56.66, 30
66.78, 24
76.41, 23
31.26, 18
51.15, 18

CeMgGa2: simulated PXRD pattern (CuKα), based on DFT lattice parameters and positions (PBE).
Lines closer than 0.1° are merged.

Structural model:
```
data_CeMgGa2
_chemical_formula_sum 'Ce2 Mg2 Ga4'
_cell_length_a 4.872
_cell_length_b 4.872
_cell_length_c 8.589
_cell_angle_alpha 90.00
_cell_angle_beta 90.00
_cell_angle_gamma 120.00
_symmetry_space_group_name_H-M 'P 1'
_symmetry_Int_Tables_number 1
loop_
_symmetry_equiv_pos_as_xyz
'x,y,z'
loop_
_atom_site_label
_atom_site_type_symbol
_atom_site_fract_x
_atom_site_fract_y
_atom_site_fract_z
Ce1 Ce 0.333 0.667 0.250
Ce2 Ce 0.667 0.333 0.750
Mg1 Mg 0.000 0.000 0.000
Mg2 Mg 0.000 0.000 0.500
Ga1 Ga 0.333 0.667 0.600
Ga2 Ga 0.333 0.667 0.900
Ga3 Ga 0.667 0.333 0.100
Ga4 Ga 0.667 0.333 0.400
```

Principal peaks in the range 10 to 90 degrees two-theta, in order of falling intensity:
2θ (°), I/Imax
37.98, 100
36.90, 90
21.06, 53
67.19, 36
53.99, 36
29.68, 18
66.48, 16
23.49, 12
77.31, 11
78.53, 10

Ce2MgGaOs: simulated PXRD pattern (CuKα), based on DFT lattice parameters and positions (PBE).
Lines closer than 0.1° are merged.

Structural model:
```
data_Ce2MgGaOs
_chemical_formula_sum 'Ce4 Mg2 Ga2 Os2'
_cell_length_a 5.552
_cell_length_b 4.831
_cell_length_c 8.889
_cell_angle_alpha 90.00
_cell_angle_beta 103.03
_cell_angle_gamma 90.00
_symmetry_space_group_name_H-M 'P 1'
_symmetry_Int_Tables_number 1
loop_
_symmetry_equiv_pos_as_xyz
'x,y,z'
loop_
_atom_site_label
_atom_site_type_symbol
_atom_site_fract_x
_atom_site_fract_y
_atom_site_fract_z
Ce1 Ce 0.025 0.250 0.252
Ce2 Ce 0.375 0.750 0.109
Ce3 Ce 0.625 0.250 0.891
Ce4 Ce 0.975 0.750 0.748
Mg1 Mg 0.361 0.750 0.517
Mg2 Mg 0.639 0.250 0.483
Ga1 Ga 0.183 0.250 0.618
Ga2 Ga 0.817 0.750 0.382
Os1 Os 0.146 0.250 0.931
Os2 Os 0.854 0.750 0.069
```

Principal peaks in the range 10 to 90 degrees two-theta, in order of falling intensity:
2θ (°), I/Imax
10.21, 100
36.25, 67
38.13, 48
37.22, 41
36.86, 30
41.60, 29
16.39, 27
27.67, 26
34.93, 24
40.23, 17

CeMgGaPb: simulated PXRD pattern (CuKα), based on DFT lattice parameters and positions (PBE).
Lines closer than 0.1° are merged.

Structural model:
```
data_CeMgGaPb
_chemical_formula_sum 'Ce1 Mg1 Ga1 Pb1'
_cell_length_a 4.424
_cell_length_b 4.662
_cell_length_c 4.785
_cell_angle_alpha 90.00
_cell_angle_beta 90.00
_cell_angle_gamma 90.00
_symmetry_space_group_name_H-M 'P 1'
_symmetry_Int_Tables_number 1
loop_
_symmetry_equiv_pos_as_xyz
'x,y,z'
loop_
_atom_site_label
_atom_site_type_symbol
_atom_site_fract_x
_atom_site_fract_y
_atom_site_fract_z
Ce1 Ce 0.000 0.000 0.000
Mg1 Mg 0.000 0.500 0.500
Ga1 Ga 0.500 0.500 0.000
Pb1 Pb 0.500 0.000 0.500
```

Principal peaks in the range 10 to 90 degrees two-theta, in order of falling intensity:
2θ (°), I/Imax
33.63, 100
19.04, 30
27.46, 25
37.59, 19
38.63, 17
40.80, 15
65.33, 15
66.73, 14
55.00, 12
69.71, 12

CeMg2GaPd4: simulated PXRD pattern (CuKα), based on DFT lattice parameters and positions (PBE).
Lines closer than 0.1° are merged.

Structural model:
```
data_CeMg2GaPd4
_chemical_formula_sum 'Ce1 Mg2 Ga1 Pd4'
_cell_length_a 8.737
_cell_length_b 8.737
_cell_length_c 8.737
_cell_angle_alpha 29.70
_cell_angle_beta 29.70
_cell_angle_gamma 29.70
_symmetry_space_group_name_H-M 'P 1'
_symmetry_Int_Tables_number 1
loop_
_symmetry_equiv_pos_as_xyz
'x,y,z'
loop_
_atom_site_label
_atom_site_type_symbol
_atom_site_fract_x
_atom_site_fract_y
_atom_site_fract_z
Ce1 Ce 0.000 0.000 0.000
Mg1 Mg 0.240 0.240 0.240
Mg2 Mg 0.760 0.760 0.760
Ga1 Ga 0.500 0.500 0.500
Pd1 Pd 0.131 0.131 0.131
Pd2 Pd 0.398 0.398 0.398
Pd3 Pd 0.602 0.602 0.602
Pd4 Pd 0.869 0.869 0.869
```

Principal peaks in the range 10 to 90 degrees two-theta, in order of falling intensity:
2θ (°), I/Imax
40.27, 100
36.90, 81
24.02, 34
34.10, 25
55.76, 24
70.99, 23
73.20, 17
43.00, 16
70.34, 15
29.12, 15

CeMgGa2Pt4: simulated PXRD pattern (CuKα), based on DFT lattice parameters and positions (PBE).
Lines closer than 0.1° are merged.

Structural model:
```
data_CeMgGa2Pt4
_chemical_formula_sum 'Ce1 Mg1 Ga2 Pt4'
_cell_length_a 9.019
_cell_length_b 9.019
_cell_length_c 9.019
_cell_angle_alpha 27.85
_cell_angle_beta 27.85
_cell_angle_gamma 27.85
_symmetry_space_group_name_H-M 'P 1'
_symmetry_Int_Tables_number 1
loop_
_symmetry_equiv_pos_as_xyz
'x,y,z'
loop_
_atom_site_label
_atom_site_type_symbol
_atom_site_fract_x
_atom_site_fract_y
_atom_site_fract_z
Ce1 Ce 0.000 0.000 0.000
Mg1 Mg 0.500 0.500 0.500
Ga1 Ga 0.241 0.241 0.241
Ga2 Ga 0.759 0.759 0.759
Pt1 Pt 0.132 0.132 0.132
Pt2 Pt 0.399 0.399 0.399
Pt3 Pt 0.601 0.601 0.601
Pt4 Pt 0.868 0.868 0.868
```

Principal peaks in the range 10 to 90 degrees two-theta, in order of falling intensity:
2θ (°), I/Imax
41.62, 100
36.56, 78
27.41, 38
33.94, 37
45.34, 27
29.32, 24
69.41, 23
56.58, 22
72.64, 21
75.95, 17

Ce2MgZn4Ga3: simulated PXRD pattern (CuKα), based on DFT lattice parameters and positions (PBE).
Lines closer than 0.1° are merged.

Structural model:
```
data_Ce2MgZn4Ga3
_chemical_formula_sum 'Ce2 Mg1 Zn4 Ga3'
_cell_length_a 4.279
_cell_length_b 4.279
_cell_length_c 10.758
_cell_angle_alpha 90.00
_cell_angle_beta 90.00
_cell_angle_gamma 90.00
_symmetry_space_group_name_H-M 'P 1'
_symmetry_Int_Tables_number 1
loop_
_symmetry_equiv_pos_as_xyz
'x,y,z'
loop_
_atom_site_label
_atom_site_type_symbol
_atom_site_fract_x
_atom_site_fract_y
_atom_site_fract_z
Ce1 Ce 0.000 0.500 0.235
Ce2 Ce 0.500 0.000 0.765
Mg1 Mg 0.000 0.000 0.500
Zn1 Zn 0.000 0.000 0.000
Zn2 Zn 0.000 0.500 0.642
Zn3 Zn 0.500 0.000 0.358
Zn4 Zn 0.500 0.500 0.000
Ga1 Ga 0.000 0.500 0.868
Ga2 Ga 0.500 0.000 0.132
Ga3 Ga 0.500 0.500 0.500
```

Principal peaks in the range 10 to 90 degrees two-theta, in order of falling intensity:
2θ (°), I/Imax
33.99, 100
32.58, 64
42.24, 57
47.29, 33
54.34, 30
29.52, 25
65.25, 24
71.95, 21
61.27, 18
85.24, 10

CeMgZn2Ga2: simulated PXRD pattern (CuKα), based on DFT lattice parameters and positions (PBE).
Lines closer than 0.1° are merged.

Structural model:
```
data_CeMgZn2Ga2
_chemical_formula_sum 'Ce1 Mg1 Zn2 Ga2'
_cell_length_a 4.387
_cell_length_b 4.387
_cell_length_c 6.983
_cell_angle_alpha 90.00
_cell_angle_beta 90.00
_cell_angle_gamma 120.00
_symmetry_space_group_name_H-M 'P 1'
_symmetry_Int_Tables_number 1
loop_
_symmetry_equiv_pos_as_xyz
'x,y,z'
loop_
_atom_site_label
_atom_site_type_symbol
_atom_site_fract_x
_atom_site_fract_y
_atom_site_fract_z
Ce1 Ce 0.000 0.000 0.000
Mg1 Mg 0.000 0.000 0.500
Zn1 Zn 0.333 0.667 0.280
Zn2 Zn 0.667 0.333 0.720
Ga1 Ga 0.333 0.667 0.747
Ga2 Ga 0.667 0.333 0.253
```

Principal peaks in the range 10 to 90 degrees two-theta, in order of falling intensity:
2θ (°), I/Imax
34.90, 100
41.15, 69
26.71, 35
55.03, 26
70.97, 24
68.72, 24
12.68, 13
75.00, 11
57.75, 10
52.41, 9